(1)
Diffraction record for SbAs2Se. The X-ray diffraction stick pattern is computed, not measured: it uses a structure optimized by DFT (PBE) and λ = 1.5418 Å (Cu Kα).

Most intense lines, 2θ = 10–90°, in order of falling intensity:
- 2θ = 31.43°, I = 100
- 2θ = 44.24°, I = 74
- 2θ = 30.33°, I = 53
- 2θ = 55.27°, I = 38
- 2θ = 45.04°, I = 36
- 2θ = 82.55°, I = 24
- 2θ = 74.55°, I = 16
- 2θ = 73.96°, I = 16
- 2θ = 72.19°, I = 16
- 2θ = 65.60°, I = 12

Structure:
```
4
Lattice="4.025 0.000 0.000 0.000 4.025 0.000 0.000 0.000 5.894" Properties=species:S:1:pos:R:3 pbc="T T T"
Sb 0.000 0.000 0.000
As 0.000 0.000 3.134
As 2.013 2.013 3.116
Se 2.013 2.013 0.185
```

(2)
Diffraction record for SbAs2Se4. The X-ray diffraction stick pattern is computed, not measured: it uses a structure optimized by DFT (PBE) and λ = 1.5418 Å (Cu Kα).

Most intense lines, 2θ = 10–90°, in order of falling intensity:
- 2θ = 31.32°, I = 100
- 2θ = 29.95°, I = 67
- 2θ = 33.43°, I = 49
- 2θ = 46.57°, I = 42
- 2θ = 41.07°, I = 39
- 2θ = 45.55°, I = 31
- 2θ = 30.59°, I = 28
- 2θ = 55.48°, I = 23
- 2θ = 24.16°, I = 21
- 2θ = 43.92°, I = 17

Structure:
```
14
Lattice="1.991 -6.451 0.000 1.991 6.451 0.000 0.000 0.000 13.461" Properties=species:S:1:pos:R:3 pbc="T T T"
Sb 1.991 5.349 10.095
Sb 1.991 -5.349 3.365
As 1.991 1.792 7.397
As 1.991 1.792 12.794
As 1.991 -1.792 0.667
As 1.991 -1.792 6.064
Se 0.000 0.000 0.000
Se 0.000 0.000 6.730
Se 1.991 2.981 1.568
Se 1.991 2.981 5.162
Se 1.991 0.724 10.095
Se 1.991 -0.724 3.365
Se 1.991 -2.981 8.298
Se 1.991 -2.981 11.893
```

(3)
Diffraction record for Tl4SbAs3Se8. The X-ray diffraction stick pattern is computed, not measured: it uses a structure optimized by DFT (PBE) and λ = 1.5418 Å (Cu Kα).

Most intense lines, 2θ = 10–90°, in order of falling intensity:
- 2θ = 38.91°, I = 100
- 2θ = 29.57°, I = 65
- 2θ = 31.38°, I = 51
- 2θ = 23.40°, I = 39
- 2θ = 30.63°, I = 32
- 2θ = 47.87°, I = 32
- 2θ = 17.40°, I = 27
- 2θ = 60.95°, I = 27
- 2θ = 39.52°, I = 20
- 2θ = 35.22°, I = 19

Structure:
```
16
Lattice="3.801 0.000 0.000 0.000 5.701 0.000 0.000 0.000 20.384" Properties=species:S:1:pos:R:3 pbc="T T T"
Tl 0.000 0.000 0.000
Tl 0.000 0.000 10.192
Tl 0.000 2.850 5.000
Tl 0.000 2.850 15.384
Sb 1.901 2.850 10.192
As 1.901 0.000 5.071
As 1.901 0.000 15.314
As 1.901 2.850 0.000
Se 0.000 0.000 3.126
Se 0.000 0.000 7.056
Se 0.000 0.000 13.328
Se 0.000 0.000 17.259
Se 0.000 2.850 1.942
Se 0.000 2.850 8.043
Se 0.000 2.850 12.341
Se 0.000 2.850 18.443
```

(4)
Diffraction record for Th4SiSb2As. The X-ray diffraction stick pattern is computed, not measured: it uses a structure optimized by DFT (PBE) and λ = 1.5418 Å (Cu Kα).

Most intense lines, 2θ = 10–90°, in order of falling intensity:
- 2θ = 28.80°, I = 100
- 2θ = 41.54°, I = 39
- 2θ = 40.82°, I = 36
- 2θ = 25.01°, I = 27
- 2θ = 51.33°, I = 20
- 2θ = 68.08°, I = 18
- 2θ = 67.06°, I = 14
- 2θ = 75.30°, I = 12
- 2θ = 59.65°, I = 12
- 2θ = 48.79°, I = 8

Structure:
```
8
Lattice="7.528 0.000 0.000 0.000 4.350 0.000 -2.511 0.000 7.281" Properties=species:S:1:pos:R:3 pbc="T T T"
Th 1.225 0.000 1.629
Th -0.032 2.175 5.640
Th 5.050 2.175 1.641
Th 3.793 0.000 5.652
Si 0.000 2.175 0.000
Sb -1.255 0.000 3.640
Sb 2.509 2.175 3.640
As 3.764 0.000 0.000
```

(5)
Diffraction record for Sm8Sb3As4. The X-ray diffraction stick pattern is computed, not measured: it uses a structure optimized by DFT (PBE) and λ = 1.5418 Å (Cu Kα).

Most intense lines, 2θ = 10–90°, in order of falling intensity:
- 2θ = 29.29°, I = 100
- 2θ = 41.90°, I = 50
- 2θ = 68.83°, I = 17
- 2θ = 52.10°, I = 13
- 2θ = 51.77°, I = 13
- 2θ = 42.09°, I = 13
- 2θ = 41.69°, I = 12
- 2θ = 76.70°, I = 8
- 2θ = 60.71°, I = 8
- 2θ = 76.24°, I = 8

Structure:
```
15
Lattice="6.094 -6.098 0.000 6.094 6.098 0.000 -6.039 0.000 6.106" Properties=species:S:1:pos:R:3 pbc="T T T"
Sm -0.049 0.000 2.957
Sm -3.064 0.000 6.034
Sm 6.094 3.129 0.000
Sm 3.075 3.117 3.053
Sm 3.075 -3.117 3.053
Sm 6.094 -3.129 0.000
Sm 9.213 0.000 0.072
Sm 6.198 0.000 3.149
Sb 0.027 3.049 3.053
Sb 0.027 -3.049 3.053
Sb 3.075 0.000 3.053
As 0.000 0.000 0.000
As -3.020 0.000 3.053
As 3.047 3.049 0.000
As 3.047 -3.049 0.000
```

(6)
Diffraction record for Sn4SbAs5. The X-ray diffraction stick pattern is computed, not measured: it uses a structure optimized by DFT (PBE) and λ = 1.5418 Å (Cu Kα).

Most intense lines, 2θ = 10–90°, in order of falling intensity:
- 2θ = 30.63°, I = 100
- 2θ = 44.15°, I = 74
- 2θ = 31.01°, I = 48
- 2θ = 54.69°, I = 39
- 2θ = 43.87°, I = 37
- 2θ = 80.84°, I = 26
- 2θ = 72.41°, I = 17
- 2θ = 72.61°, I = 17
- 2θ = 73.21°, I = 17
- 2θ = 26.56°, I = 13

Structure:
```
10
Lattice="-2.064 2.064 14.421 2.064 -2.064 14.421 2.064 2.064 -14.421" Properties=species:S:1:pos:R:3 pbc="T T T"
Sn 0.000 0.000 2.876
Sn 0.000 0.000 8.656
Sn 0.000 0.000 20.185
Sn 0.000 0.000 25.966
Sb 0.000 0.000 14.421
As 0.000 0.000 0.000
As 0.000 0.000 5.762
As 0.000 0.000 11.549
As 0.000 0.000 17.292
As 0.000 0.000 23.079
```

(7)
Diffraction record for Sn6Sb2As3. The X-ray diffraction stick pattern is computed, not measured: it uses a structure optimized by DFT (PBE) and λ = 1.5418 Å (Cu Kα).

Most intense lines, 2θ = 10–90°, in order of falling intensity:
- 2θ = 35.93°, I = 100
- 2θ = 20.51°, I = 50
- 2θ = 38.57°, I = 40
- 2θ = 49.08°, I = 39
- 2θ = 26.12°, I = 35
- 2θ = 45.39°, I = 25
- 2θ = 32.30°, I = 21
- 2θ = 64.58°, I = 18
- 2θ = 21.21°, I = 17
- 2θ = 26.81°, I = 17

Structure:
```
11
Lattice="4.999 0.000 0.000 -2.500 4.330 0.000 0.000 0.000 16.630" Properties=species:S:1:pos:R:3 pbc="T T T"
Sn 0.000 0.000 0.000
Sn 0.000 0.000 4.832
Sn 0.000 0.000 10.941
Sn 0.000 2.886 2.319
Sn 0.000 2.886 8.091
Sn 0.000 2.886 13.754
Sb 0.000 0.000 7.864
Sb 2.500 1.443 1.138
As 0.000 0.000 13.868
As 0.000 2.886 5.059
As 0.000 2.886 10.941
```

(8)
Diffraction record for SnSbAs. The X-ray diffraction stick pattern is computed, not measured: it uses a structure optimized by DFT (PBE) and λ = 1.5418 Å (Cu Kα).

Most intense lines, 2θ = 10–90°, in order of falling intensity:
- 2θ = 30.57°, I = 100
- 2θ = 41.91°, I = 71
- 2θ = 27.97°, I = 53
- 2θ = 43.34°, I = 20
- 2θ = 52.37°, I = 19
- 2θ = 44.21°, I = 17
- 2θ = 53.13°, I = 17
- 2θ = 66.81°, I = 16
- 2θ = 78.52°, I = 16
- 2θ = 70.90°, I = 15

Structure:
```
6
Lattice="-2.088 6.146 3.190 2.088 -6.146 3.190 2.088 6.146 -3.190" Properties=species:S:1:pos:R:3 pbc="T T T"
Sn 0.000 2.188 0.000
Sn 0.000 10.104 0.000
Sb 2.088 0.000 0.494
Sb 0.000 6.146 0.203
As 2.088 4.112 0.450
As 0.000 2.034 3.639
```